1.
Diffraction record for RbScGe2O6. The powder diffraction line list is computed, not measured: it uses DFT lattice parameters and positions (GGA-PBE) and λ = 1.5418 Å (Cu Kα).
No peak broadening, texture or thermal motion is included.

Structural model:
```
RbScGe2O6
1.0
5.3721 -5.8894 0.0000
5.3721 5.8894 0.0000
-1.5830 0.0000 5.3796
Rb Sc Ge O
2 2 4 12
direct
0.0971 0.9029 0.7500
0.9029 0.0971 0.2500
0.2538 0.7462 0.2500
0.7462 0.2538 0.7500
0.2099 0.3709 0.7921
0.3709 0.2099 0.2921
0.6291 0.7901 0.7079
0.7901 0.6291 0.2079
0.0043 0.7287 0.2610
0.2440 0.5878 0.9322
0.2510 0.3397 0.4811
0.2713 0.9957 0.2390
0.3397 0.2510 0.9811
0.4122 0.7560 0.5678
0.5878 0.2440 0.4322
0.6603 0.7490 0.0189
0.7287 0.0043 0.7610
0.7490 0.6603 0.5189
0.7560 0.4122 0.0678
0.9957 0.2713 0.7390
```

Largest 10 diffraction maxima, low angle first, 10° ≤ 2θ ≤ 90°:
2θ 22.9, rel. 39; 2θ 25.3, rel. 100; 2θ 27.0, rel. 50; 2θ 28.0, rel. 32; 2θ 30.8, rel. 33; 2θ 31.2, rel. 29; 2θ 32.8, rel. 24; 2θ 33.3, rel. 29; 2θ 41.1, rel. 34; 2θ 48.5, rel. 24



2.
Diffraction record for RbTaGeO6. The powder diffraction line list is computed, not measured: it uses DFT lattice parameters and positions (GGA-PBE) and λ = 1.5418 Å (Cu Kα).
No peak broadening, texture or thermal motion is included.

Structural model:
```
RbTaGeO6
1.0
2.7711 -4.6936 0.0000
2.7711 4.6936 0.0000
-0.0905 0.0000 5.9557
Rb Ta Ge O
1 1 1 6
direct
0.0000 0.0000 0.0000
0.6545 0.3455 0.5000
0.3475 0.6525 0.5000
0.0058 0.5880 0.3343
0.0209 0.4188 0.6586
0.4123 0.4160 0.3022
0.4120 0.9942 0.6657
0.5812 0.9791 0.3414
0.5840 0.5877 0.6978
```

Largest 10 diffraction maxima, low angle first, 10° ≤ 2θ ≤ 90°:
2θ 14.9, rel. 65; 2θ 18.6, rel. 22; 2θ 23.7, rel. 60; 2θ 24.1, rel. 100; 2θ 30.0, rel. 21; 2θ 32.3, rel. 19; 2θ 32.9, rel. 35; 2θ 41.4, rel. 15; 2θ 44.9, rel. 16; 2θ 45.3, rel. 28



3.
Diffraction record for RbGe2TeO6. The powder diffraction line list is computed, not measured: it uses DFT lattice parameters and positions (GGA-PBE) and λ = 1.5418 Å (Cu Kα).
No peak broadening, texture or thermal motion is included.

Structural model:
```
RbGe2TeO6
1.0
5.5690 -5.2910 0.0000
5.5690 5.2910 0.0000
-1.5238 0.0000 5.6491
Rb Ge Te O
2 4 2 12
direct
0.1773 0.8227 0.7500
0.8227 0.1773 0.2500
0.1283 0.2996 0.8202
0.2996 0.1283 0.3202
0.7004 0.8717 0.6798
0.8717 0.7004 0.1798
0.3674 0.6326 0.2500
0.6326 0.3674 0.7500
0.1032 0.6435 0.2731
0.1458 0.1746 0.0578
0.1746 0.1458 0.5578
0.2737 0.4801 0.8900
0.3565 0.8968 0.2269
0.4801 0.2737 0.3900
0.5199 0.7263 0.6100
0.6435 0.1032 0.7731
0.7263 0.5199 0.1100
0.8254 0.8542 0.4422
0.8542 0.8254 0.9422
0.8968 0.3565 0.7269
```

Largest 10 diffraction maxima, low angle first, 10° ≤ 2θ ≤ 90°:
2θ 17.8, rel. 21; 2θ 23.6, rel. 30; 2θ 25.9, rel. 100; 2θ 26.2, rel. 23; 2θ 29.9, rel. 24; 2θ 30.8, rel. 66; 2θ 31.7, rel. 40; 2θ 36.0, rel. 18; 2θ 37.2, rel. 17; 2θ 37.5, rel. 19